Structure and simulated powder diffraction line list of CsPaMnO5 (a structure optimized by DFT (GGA+U); Cu Kα (λ = 1.5418 Å)).
Kinematic intensities with the Lorentz-polarization factor, no thermal factor.

Principal peaks in the range 5° ≤ 2θ ≤ 70°, in order of rising 2θ:
- hkl 1 1 0, 2θ = 15.4°, intensity 625
- hkl 1 1 -2, 2θ = 23.5°, intensity 1000
- hkl 2 0 0, 2θ = 26.0°, intensity 653
- hkl 1 3 0, 2θ = 28.6°, intensity 865
- hkl 0 2 2, 2θ = 30.1°, intensity 512
- hkl 2 2 -2, 2θ = 31.4°, intensity 373
- hkl 1 1 2, 2θ = 34.2°, intensity 244
- hkl 3 1 -2, 2θ = 36.5°, intensity 251
- hkl 3 3 0, 2θ = 47.5°, intensity 236
- hkl 1 3 -4, 2θ = 53.1°, intensity 192

Cell and atoms:
a = 7.7352 Å, b = 10.5400 Å, c = 8.1309 Å
α = 90.00°, β = 117.79°, γ = 90.00°
Space group C2/c (No. 15)
Unique sites:
1 Cs 0.0000 0.1684 0.2500 [4 per cell]
2 Pa 0.0000 0.5000 0.0000 [4 per cell]
3 Mn 0.0000 0.1906 0.7500 [4 per cell]
4 O 0.0000 0.4397 0.2500 [4 per cell]
5 O 0.0679 0.3056 0.6211 [8 per cell]
6 O 0.1964 0.0757 0.8747 [8 per cell]